# AsHPd2
Calculated X-ray powder pattern, Cu Kα X-rays. Input: the GGA-PBE geometry in Alexandria.
No peak broadening, texture or thermal motion is included.

Cell and atoms:
abc: 3.050 5.309 7.036
angles: 110.28 102.12 90.05
Fractional coordinates of all 8 atoms:
As (0.250, 0.246, 0.003)
As (0.750, 0.754, 0.997)
H (0.451, 0.764, 0.415)
H (0.549, 0.236, 0.585)
Pd (0.099, 0.444, 0.692)
Pd (0.401, 0.059, 0.305)
Pd (0.599, 0.941, 0.695)
Pd (0.901, 0.556, 0.308)

Main lines, in order of rising 2θ (10 to 90 degrees two-theta):
2theta, d (Å), I/Imax
36.46, 2.464, 97
36.59, 2.456, 98
37.08, 2.424, 100
42.15, 2.144, 56
43.49, 2.081, 51
44.58, 2.033, 54
44.88, 2.019, 54
60.51, 1.530, 44
60.73, 1.525, 23
77.50, 1.232, 19

=====

# La3Pr3Ag4
Calculated X-ray powder pattern, Cu Kα X-rays. Input: the GGA-PBE geometry in Alexandria.
No peak broadening, texture or thermal motion is included.

Cell and atoms:
abc: 3.938 8.709 8.709
angles: 90.24 90.00 90.00
Fractional coordinates of all 10 atoms:
La (0.000, 0.000, 0.000)
La (0.000, 0.163, 0.503)
La (0.000, 0.503, 0.163)
Pr (0.000, 0.660, 0.660)
Pr (0.500, 0.334, 0.832)
Pr (0.500, 0.832, 0.334)
Ag (0.500, 0.209, 0.209)
Ag (0.500, 0.455, 0.455)
Ag (0.500, 0.707, 0.952)
Ag (0.500, 0.952, 0.707)

Main lines, in order of rising 2θ (10 to 90 degrees two-theta):
2theta, d (Å), I/Imax
30.61, 2.921, 39
32.33, 2.769, 100
32.51, 2.754, 56
42.81, 2.112, 9
46.09, 1.969, 15
48.93, 1.862, 11
57.54, 1.602, 21
58.94, 1.567, 16
61.96, 1.498, 7
76.59, 1.244, 8